This entry pairs a crystal structure of Rb2NaW2O7 with its simulated powder diffraction line list. Radiation: Cu Kα. Structure: a crystal structure in Alexandria, relaxed with GGA+U.
Intensities are scaled so that the largest is 100.

Crystal structure
```
12
Lattice="-1.995 1.995 11.232 1.995 -1.995 11.232 1.995 1.995 -11.232" Properties=species:S:1:pos:R:3 pbc="T T T"
Rb 0.000 0.000 4.262
Rb 0.000 0.000 18.203
Na 0.000 0.000 0.000
W 0.000 0.000 9.231
W 0.000 0.000 13.233
O 1.995 0.000 1.912
O 0.000 0.000 7.361
O 1.995 0.000 9.320
O 0.000 0.000 11.232
O 0.000 1.995 1.912
O 0.000 0.000 15.104
O 0.000 1.995 9.320
```

Peak list (10 most intense, 2θ = 5–70°, low angle first)
7.9°, rel. 16.7; 15.8°, rel. 24.1; 22.6°, rel. 52.7; 30.0°, rel. 100.0; 31.7°, rel. 52.8; 45.5°, rel. 29.3; 51.4°, rel. 11.6; 52.0°, rel. 15.5; 55.4°, rel. 36.5; 62.2°, rel. 12.0